The following is a theoretical powder diffraction line list of CsV2CrO7. It was derived from a crystal structure in Alexandria, relaxed with PBE+U, using Cu Kα, 1.54184 Å.
Neutral-atom scattering factors, no anomalous dispersion.

Atomic structure:
Unit cell a=9.0100 b=4.9865 c=7.0060 alpha=90.00 beta=100.21 gamma=90.00
Atoms (fractional coordinates):
Cs: 0.0000 0.1224 0.2500
Cs: 0.0000 0.8776 0.7500
V: 0.3418 0.4959 0.1275
V: 0.3418 0.5041 0.6275
V: 0.6582 0.4959 0.3725
V: 0.6582 0.5041 0.8725
Cr: 0.5000 0.0000 0.0000
Cr: 0.5000 0.0000 0.5000
O: 0.1727 0.3792 0.6269
O: 0.1727 0.6208 0.1269
O: 0.3082 0.1795 0.0264
O: 0.3082 0.8205 0.5264
O: 0.3957 0.3424 0.3906
O: 0.3957 0.6576 0.8906
O: 0.5000 0.2159 0.7500
O: 0.5000 0.7841 0.2500
O: 0.6043 0.3424 0.1094
O: 0.6043 0.6576 0.6094
O: 0.6918 0.1795 0.4736
O: 0.6918 0.8205 0.9736
O: 0.8273 0.3792 0.8731
O: 0.8273 0.6208 0.3731

Top 10 peaks for 2θ = 10–90°, most intense first:
- 31.69 deg, I 100
- 26.91 deg, I 99
- 29.42 deg, I 89
- 44.75 deg, I 43
- 20.03 deg, I 42
- 40.38 deg, I 42
- 20.43 deg, I 41
- 35.72 deg, I 39
- 22.00 deg, I 29
- 30.24 deg, I 28